Diffraction record for Pr3UCl3O6. The powder XRD pattern is calculated, not measured: it uses a DFT-relaxed cell (GGA-PBE, the Materials Project) and Cu Kα X-rays.
Kinematic intensities with the Lorentz-polarization factor, no thermal factor.

Crystal structure
```
data_Pr3UCl3O6
_chemical_formula_sum 'Pr6 U2 Cl6 O12'
_cell_length_a 9.5149
_cell_length_b 9.5149
_cell_length_c 5.6109
_cell_angle_alpha 90.00
_cell_angle_beta 90.00
_cell_angle_gamma 120.00
_symmetry_space_group_name_H-M 'P 63/m'
_symmetry_Int_Tables_number 176
_symmetry_space_group_name_Hall '-P 6c'
loop_
_atom_site_label
_atom_site_fract_x
_atom_site_fract_y
_atom_site_fract_z
Pr1 0.0908 0.6861 0.2500
U1 0.3333 0.6667 0.7500
Cl1 0.0590 0.8114 0.7500
O1 0.1517 0.5169 0.5069
```

Top 8 peaks for 2θ from 10° to 90°, low angle first:
h k l  Position (°2θ)  Rel. int.
1 0 0  10.74  592
1 1 1  24.53  440
2 0 1  26.85  583
1 2 0  28.66  280
0 0 2  31.90  292
1 2 1  32.89  1000
1 2 2  43.41  336
3 2 1  50.98  333

---

Diffraction record for Ca2MnSi2. The powder XRD pattern is calculated, not measured: it uses a DFT-relaxed cell (GGA-PBE, the Materials Project) and Cu Kα X-rays.
Kinematic intensities with the Lorentz-polarization factor, no thermal factor.

Crystal structure
```
data_Ca2MnSi2
_chemical_formula_sum 'Ca2 Mn1 Si2'
_cell_length_a 6.675
_cell_length_b 6.675
_cell_length_c 14.205
_cell_angle_alpha 90.00
_cell_angle_beta 90.00
_cell_angle_gamma 90.00
_symmetry_space_group_name_H-M 'P 4/m m m'
_symmetry_Int_Tables_number 123
_symmetry_space_group_name_Hall '-P 4 2'
loop_
_atom_site_label
_atom_site_fract_x
_atom_site_fract_y
_atom_site_fract_z
Ca1 0.000 0.000 0.133
Mn1 0.000 0.000 0.500
Si1 0.000 0.000 0.338
```

Top 8 peaks for 2θ from 10° to 90°, low angle first:
h k l  Position (°2θ)  Rel. int.
1 0 0  13.26  1000
1 1 0  18.80  458
2 0 0  26.70  215
2 1 0  29.93  257
1 0 5  34.30  62
1 1 5  36.93  64
2 2 0  38.13  64
3 1 0  42.84  89